For Al13Ag2, the PBE geometry in Alexandria gives the computed powder diffraction line list in this record (Cu Kα).
Neutral-atom scattering factors, no anomalous dispersion.

Cell and atoms:
```
data_Al13Ag2
_symmetry_space_group_name_H-M 'P 1'
_symmetry_Int_Tables_number 1
_cell_length_a 4.956
_cell_length_b 6.367
_cell_length_c 8.609
_cell_angle_alpha 101.58
_cell_angle_beta 106.71
_cell_angle_gamma 95.82
loop_
_symmetry_equiv_pos_as_xyz
'x,y,z'
loop_
_atom_site_label
_atom_site_type_symbol
_atom_site_fract_x
_atom_site_fract_y
_atom_site_fract_z
Al1 Al 0.000 0.000 0.000
Al2 Al 0.005 0.001 0.334
Al3 Al 0.200 0.398 0.265
Al4 Al 0.201 0.399 0.933
Al5 Al 0.201 0.400 0.601
Al6 Al 0.397 0.800 0.867
Al7 Al 0.402 0.798 0.201
Al8 Al 0.598 0.202 0.799
Al9 Al 0.603 0.200 0.133
Al10 Al 0.799 0.600 0.399
Al11 Al 0.799 0.601 0.067
Al12 Al 0.800 0.602 0.735
Al13 Al 0.995 0.999 0.666
Ag1 Ag 0.392 0.796 0.534
Ag2 Ag 0.608 0.204 0.466
```

Top 8 peaks for 2θ from 5° to 70°, in order of rising 2θ:
2θ = 11.1°, I 100; 2θ = 37.6°, I 67; 2θ = 38.2°, I 65; 2θ = 38.8°, I 64; 2θ = 39.0°, I 60; 2θ = 44.1°, I 43; 2θ = 44.6°, I 41; 2θ = 45.2°, I 39